Starting from DFT lattice parameters and positions (GGA-PBE), the XRD peak list of SrSbP2O8 was simulated for Cu Kα, 1.54184 Å.
Neutral-atom scattering factors, no anomalous dispersion.

Crystal structure
Lattice parameters (Å, degrees): 6.243 6.872 9.425 68.79 71.02 81.71
Element x y z (fractional)
1 Sr 0.249 0.237 0.473
2 Sr 0.751 0.763 0.527
3 Sb 0.375 0.361 0.968
4 Sb 0.625 0.639 0.032
5 P 0.099 0.503 0.776
6 P 0.338 0.908 0.271
7 P 0.662 0.092 0.729
8 P 0.901 0.497 0.224
9 O 0.084 0.944 0.326
10 O 0.118 0.286 0.913
11 O 0.133 0.494 0.613
12 O 0.144 0.398 0.175
13 O 0.287 0.625 0.788
14 O 0.395 0.702 0.222
15 O 0.454 0.900 0.392
16 O 0.458 0.091 0.112
17 O 0.542 0.909 0.888
18 O 0.546 0.100 0.608
19 O 0.605 0.298 0.778
20 O 0.713 0.375 0.212
21 O 0.856 0.602 0.825
22 O 0.867 0.506 0.387
23 O 0.882 0.714 0.087
24 O 0.916 0.056 0.674

Main lines, by intensity (15° ≤ 2θ ≤ 90°):
| two_theta | I/Imax |
| --- | --- |
| 20.12 | 100 |
| 29.99 | 63 |
| 29.67 | 56 |
| 28.82 | 50 |
| 20.78 | 41 |
| 15.59 | 40 |

Starting from DFT lattice parameters and positions (GGA-PBE), the XRD peak list of LiMg2 was simulated for Cu Kα, 1.54184 Å.
Neutral-atom scattering factors, no anomalous dispersion.

Crystal structure
Lattice parameters (Å, degrees): 5.365 5.365 5.115 90.00 90.00 61.74
Element x y z (fractional)
1 Li 0.165 0.835 0.750
2 Li 0.835 0.165 0.250
3 Mg 0.167 0.502 0.250
4 Mg 0.498 0.833 0.250
5 Mg 0.502 0.167 0.750
6 Mg 0.833 0.498 0.750

Main lines, by intensity (15° ≤ 2θ ≤ 90°):
| two_theta | I/Imax |
| --- | --- |
| 37.89 | 100 |
| 37.09 | 52 |
| 35.09 | 41 |
| 25.67 | 40 |
| 19.28 | 24 |
| 33.42 | 23 |

Starting from DFT lattice parameters and positions (GGA-PBE), the XRD peak list of LiSn was simulated for Cu Kα, 1.54184 Å.
Neutral-atom scattering factors, no anomalous dispersion.

Crystal structure
Lattice parameters (Å, degrees): 5.181 3.224 7.805 90.00 105.75 90.00
Element x y z (fractional)
1 Li 0.000 0.000 0.000
2 Li 0.232 0.000 0.668
3 Li 0.768 0.000 0.332
4 Sn 0.259 0.500 0.338
5 Sn 0.500 0.500 0.000
6 Sn 0.741 0.500 0.662

Main lines, by intensity (15° ≤ 2θ ≤ 90°):
| two_theta | I/Imax |
| --- | --- |
| 23.95 | 100 |
| 25.52 | 92 |
| 27.67 | 91 |
| 36.91 | 79 |
| 38.00 | 78 |
| 35.86 | 55 |

Starting from DFT lattice parameters and positions (GGA-PBE), the XRD peak list of UBCO5 was simulated for Cu Kα, 1.54184 Å.
Neutral-atom scattering factors, no anomalous dispersion.

Crystal structure
Lattice parameters (Å, degrees): 7.228 8.955 10.189 90.00 90.00 90.00
Element x y z (fractional)
1 U 0.055 0.250 0.137
2 U 0.445 0.750 0.637
3 U 0.555 0.250 0.363
4 U 0.945 0.750 0.863
5 B 0.055 0.250 0.428
6 B 0.445 0.750 0.928
7 B 0.555 0.250 0.072
8 B 0.945 0.750 0.572
9 C 0.052 0.250 0.587
10 C 0.448 0.750 0.087
11 C 0.552 0.250 0.913
12 C 0.948 0.750 0.413
13 O 0.057 0.047 0.160
14 O 0.057 0.453 0.160
15 O 0.059 0.250 0.950
16 O 0.112 0.750 0.627
17 O 0.223 0.250 0.376
18 O 0.277 0.750 0.876
19 O 0.388 0.250 0.127
20 O 0.441 0.750 0.450
21 O 0.443 0.547 0.660
22 O 0.443 0.953 0.660
23 O 0.557 0.047 0.340
24 O 0.557 0.453 0.340
25 O 0.559 0.250 0.550
26 O 0.612 0.750 0.873
27 O 0.723 0.250 0.124
28 O 0.777 0.750 0.624
29 O 0.888 0.250 0.373
30 O 0.941 0.750 0.050
31 O 0.943 0.547 0.840
32 O 0.943 0.953 0.840

Main lines, by intensity (15° ≤ 2θ ≤ 90°):
| two_theta | I/Imax |
| --- | --- |
| 23.56 | 100 |
| 19.83 | 74 |
| 15.03 | 74 |
| 28.05 | 40 |
| 29.05 | 29 |
| 24.64 | 28 |

Starting from DFT lattice parameters and positions (GGA-PBE), the XRD peak list of MgV4Cu2S8 was simulated for Cu Kα, 1.54184 Å.
Neutral-atom scattering factors, no anomalous dispersion.

Crystal structure
Lattice parameters (Å, degrees): 6.966 6.966 7.285 118.54 118.54 60.02
Element x y z (fractional)
1 Mg 0.000 0.000 0.000
2 V 0.498 0.498 0.494
3 V 0.507 0.507 0.985
4 V 0.507 0.973 0.985
5 V 0.973 0.507 0.985
6 Cu 0.142 0.142 0.423
7 Cu 0.860 0.860 0.578
8 S 0.252 0.252 0.228
9 S 0.252 0.725 0.228
10 S 0.260 0.739 0.737
11 S 0.264 0.264 0.791
12 S 0.725 0.252 0.228
13 S 0.739 0.260 0.737
14 S 0.739 0.739 0.737
15 S 0.740 0.740 0.220

Main lines, by intensity (15° ≤ 2θ ≤ 90°):
| two_theta | I/Imax |
| --- | --- |
| 35.70 | 100 |
| 29.56 | 89 |
| 50.18 | 88 |
| 52.55 | 60 |
| 25.57 | 55 |
| 30.03 | 54 |

Starting from DFT lattice parameters and positions (GGA-PBE), the XRD peak list of PrFeNi4 was simulated for Cu Kα, 1.54184 Å.
Neutral-atom scattering factors, no anomalous dispersion.

Crystal structure
Lattice parameters (Å, degrees): 5.024 5.024 3.957 90.00 90.00 120.00
Element x y z (fractional)
1 Pr 0.000 0.000 0.000
2 Fe 0.333 0.667 0.000
3 Ni 0.500 0.001 0.500
4 Ni 0.500 0.500 0.500
5 Ni 0.667 0.333 0.000
6 Ni 0.999 0.500 0.500

Main lines, by intensity (15° ≤ 2θ ≤ 90°):
| two_theta | I/Imax |
| --- | --- |
| 42.63 | 100 |
| 30.54 | 48 |
| 41.51 | 37 |
| 35.74 | 30 |
| 45.87 | 26 |
| 68.96 | 22 |

Starting from DFT lattice parameters and positions (GGA-PBE), the XRD peak list of Cs2LiTlCl6 was simulated for Cu Kα, 1.54184 Å.
Neutral-atom scattering factors, no anomalous dispersion.

Crystal structure
Lattice parameters (Å, degrees): 7.497 7.497 7.497 60.00 60.00 60.00
Element x y z (fractional)
1 Cs 0.250 0.250 0.250
2 Cs 0.750 0.750 0.750
3 Li 0.000 0.000 0.000
4 Tl 0.500 0.500 0.500
5 Cl 0.251 0.251 0.749
6 Cl 0.251 0.749 0.251
7 Cl 0.251 0.749 0.749
8 Cl 0.749 0.251 0.251
9 Cl 0.749 0.251 0.749
10 Cl 0.749 0.749 0.251

Main lines, by intensity (15° ≤ 2θ ≤ 90°):
| two_theta | I/Imax |
| --- | --- |
| 23.74 | 100 |
| 33.82 | 62 |
| 41.74 | 47 |
| 48.58 | 42 |
| 27.91 | 33 |
| 65.93 | 25 |

Starting from DFT lattice parameters and positions (GGA-PBE), the XRD peak list of Mg2IrN3 was simulated for Cu Kα, 1.54184 Å.
Neutral-atom scattering factors, no anomalous dispersion.

Crystal structure
Lattice parameters (Å, degrees): 6.264 6.264 4.379 90.00 90.00 60.47
Element x y z (fractional)
1 Mg 0.004 0.334 0.000
2 Mg 0.334 0.004 0.500
3 Mg 0.666 0.996 0.000
4 Mg 0.996 0.666 0.500
5 Ir 0.323 0.677 0.992
6 Ir 0.677 0.323 0.492
7 N 0.018 0.669 0.002
8 N 0.331 0.982 0.002
9 N 0.373 0.627 0.531
10 N 0.627 0.373 0.031
11 N 0.669 0.018 0.502
12 N 0.982 0.331 0.502

Main lines, by intensity (15° ≤ 2θ ≤ 90°):
| two_theta | I/Imax |
| --- | --- |
| 26.10 | 100 |
| 16.38 | 87 |
| 35.23 | 66 |
| 16.26 | 35 |
| 28.50 | 31 |
| 50.22 | 26 |

Starting from DFT lattice parameters and positions (GGA-PBE), the XRD peak list of TeMo2S3 was simulated for Cu Kα, 1.54184 Å.
Neutral-atom scattering factors, no anomalous dispersion.

Crystal structure
Lattice parameters (Å, degrees): 3.274 3.274 37.336 90.00 90.00 120.00
Element x y z (fractional)
1 Te 0.000 0.000 0.000
2 Te 0.000 0.000 0.103
3 Mo 0.000 0.000 0.488
4 Mo 0.000 0.000 0.864
5 Mo 0.333 0.667 0.052
6 Mo 0.333 0.667 0.676
7 S 0.000 0.000 0.635
8 S 0.000 0.000 0.717
9 S 0.333 0.667 0.447
10 S 0.333 0.667 0.529
11 S 0.333 0.667 0.822
12 S 0.333 0.667 0.905

Main lines, by intensity (15° ≤ 2θ ≤ 90°):
| two_theta | I/Imax |
| --- | --- |
| 37.10 | 100 |
| 31.57 | 54 |
| 44.92 | 47 |
| 56.19 | 31 |
| 39.92 | 21 |
| 33.81 | 15 |

Starting from DFT lattice parameters and positions (GGA-PBE), the XRD peak list of Cs4AsH5Se3O16 was simulated for Cu Kα, 1.54184 Å.
Neutral-atom scattering factors, no anomalous dispersion.

Crystal structure
Lattice parameters (Å, degrees): 6.173 13.923 12.217 90.00 95.30 90.00
Element x y z (fractional)
1 Cs 0.201 0.000 0.402
2 Cs 0.233 0.252 0.142
3 Cs 0.275 0.019 0.854
4 Cs 0.296 0.277 0.587
5 Cs 0.704 0.777 0.413
6 Cs 0.725 0.519 0.146
7 Cs 0.767 0.752 0.858
8 Cs 0.799 0.500 0.598
9 As 0.261 0.772 0.135
10 As 0.739 0.272 0.865
11 H 0.137 0.678 0.317
12 H 0.141 0.927 0.085
13 H 0.229 0.639 0.016
14 H 0.356 0.601 0.683
15 H 0.385 0.315 0.888
16 H 0.615 0.815 0.112
17 H 0.644 0.101 0.317
18 H 0.771 0.139 0.984
19 H 0.859 0.427 0.915
20 H 0.863 0.178 0.683
21 Se 0.222 0.755 0.646
22 Se 0.231 0.500 0.870
23 Se 0.275 0.524 0.359
24 Se 0.725 0.024 0.641
25 Se 0.769 0.000 0.130
26 Se 0.778 0.255 0.354
27 O 0.023 0.205 0.367
28 O 0.038 0.019 0.130
29 O 0.075 0.618 0.350
30 O 0.132 0.673 0.070
31 O 0.178 0.785 0.261
32 O 0.212 0.870 0.047
33 O 0.221 0.459 0.246
34 O 0.230 0.469 0.474
35 O 0.278 0.807 0.767
36 O 0.278 0.820 0.540
37 O 0.284 0.396 0.936
38 O 0.303 0.495 0.741
39 O 0.369 0.588 0.939
40 O 0.414 0.658 0.643
41 O 0.459 0.250 0.865
42 O 0.484 0.078 0.638
43 O 0.516 0.578 0.362
44 O 0.541 0.750 0.135
45 O 0.586 0.158 0.357
46 O 0.631 0.088 0.061
47 O 0.697 0.995 0.259
48 O 0.716 0.896 0.064
49 O 0.722 0.307 0.233
50 O 0.722 0.320 0.460
51 O 0.770 0.969 0.526
52 O 0.779 0.959 0.754
53 O 0.788 0.370 0.953
54 O 0.822 0.285 0.739
55 O 0.868 0.173 0.930
56 O 0.925 0.118 0.650
57 O 0.962 0.519 0.870
58 O 0.977 0.705 0.633

Main lines, by intensity (15° ≤ 2θ ≤ 90°):
| two_theta | I/Imax |
| --- | --- |
| 25.04 | 100 |
| 23.40 | 95 |
| 25.59 | 45 |
| 29.05 | 33 |
| 39.10 | 27 |
| 29.37 | 24 |

Starting from DFT lattice parameters and positions (GGA-PBE), the XRD peak list of In2CuS4 was simulated for Cu Kα, 1.54184 Å.
Neutral-atom scattering factors, no anomalous dispersion.

Crystal structure
Lattice parameters (Å, degrees): 7.498 7.498 7.498 60.00 60.00 60.00
Element x y z (fractional)
1 In 0.000 0.000 0.000
2 In 0.000 0.000 0.500
3 In 0.000 0.500 0.000
4 In 0.500 0.000 0.000
5 Cu 0.375 0.375 0.375
6 Cu 0.625 0.625 0.625
7 S 0.246 0.751 0.751
8 S 0.249 0.249 0.249
9 S 0.249 0.249 0.754
10 S 0.249 0.754 0.249
11 S 0.751 0.246 0.751
12 S 0.751 0.751 0.246
13 S 0.751 0.751 0.751
14 S 0.754 0.249 0.249

Main lines, by intensity (15° ≤ 2θ ≤ 90°):
| two_theta | I/Imax |
| --- | --- |
| 27.90 | 100 |
| 48.57 | 71 |
| 33.81 | 48 |
| 44.39 | 38 |
| 67.89 | 22 |
| 81.12 | 14 |